Entry 1:
# Nb3SI3BrCl3
Simulated powder X-ray diffraction pattern, Cu Kα (λ = 1.5418 Å). Input: a cell relaxed with GGA-PBE.

Crystal structure
a b c (Å): 7.328 7.328 6.719
angles (deg): 90.00 90.00 120.00
Fractional positions:
Nb  0.202  0.404  0.000
Nb  0.202  0.798  0.000
Nb  0.596  0.798  0.000
S  0.333  0.667  0.742
I  0.339  0.170  0.760
I  0.830  0.170  0.760
I  0.830  0.661  0.760
Br  0.000  0.000  0.202
Cl  0.012  0.506  0.233
Cl  0.494  0.506  0.233
Cl  0.494  0.988  0.233

Principal peaks in the range 10 to 80 degrees two-theta, in order of rising 2θ:
2θ/deg	I_rel
13.2	69.2
19.2	23.7
30.1	18.0
31.2	100.0
37.5	14.9
39.0	53.5
39.9	12.1
42.8	8.8
49.8	49.5
57.3	9.7
59.9	12.8
77.0	14.1


Entry 2:
# TmBe13
Simulated powder X-ray diffraction pattern, Cu Kα (λ = 1.5418 Å). Input: a cell relaxed with GGA-PBE.

Crystal structure
a b c (Å): 7.167 7.167 7.167
angles (deg): 60.00 60.00 60.00
Fractional positions:
Tm  0.250  0.250  0.250
Tm  0.750  0.750  0.750
Be  0.000  0.000  0.000
Be  0.063  0.291  0.709
Be  0.063  0.709  0.937
Be  0.063  0.937  0.291
Be  0.209  0.437  0.791
Be  0.209  0.563  0.437
Be  0.209  0.791  0.563
Be  0.291  0.063  0.937
Be  0.291  0.709  0.063
Be  0.291  0.937  0.709
Be  0.437  0.209  0.563
Be  0.437  0.563  0.791
Be  0.437  0.791  0.209
Be  0.500  0.500  0.500
Be  0.563  0.209  0.791
Be  0.563  0.437  0.209
Be  0.563  0.791  0.437
Be  0.709  0.063  0.291
Be  0.709  0.291  0.937
Be  0.709  0.937  0.063
Be  0.791  0.209  0.437
Be  0.791  0.437  0.563
Be  0.791  0.563  0.209
Be  0.937  0.063  0.709
Be  0.937  0.291  0.063
Be  0.937  0.709  0.291

Principal peaks in the range 10 to 80 degrees two-theta, in order of rising 2θ:
2θ/deg	I_rel
17.5	92.1
24.8	100.0
30.6	43.8
35.4	22.4
39.8	71.0
43.8	59.9
54.3	23.3
57.5	25.2
60.6	16.4
66.5	16.4
69.4	27.7
77.7	20.2


Entry 3:
# Y4Tl3Mo2N3
Simulated powder X-ray diffraction pattern, Cu Kα (λ = 1.5418 Å). Input: a cell relaxed with GGA-PBE.

Crystal structure
a b c (Å): 5.928 5.928 15.065
angles (deg): 100.82 100.82 60.40
Fractional positions:
Y  0.030  0.197  0.090
Y  0.140  0.302  0.410
Y  0.197  0.030  0.590
Y  0.302  0.140  0.910
Y  0.698  0.860  0.090
Y  0.803  0.970  0.410
Y  0.860  0.698  0.590
Y  0.970  0.803  0.910
Tl  0.124  0.876  0.250
Tl  0.286  0.418  0.749
Tl  0.418  0.286  0.249
Tl  0.582  0.714  0.751
Tl  0.714  0.582  0.251
Tl  0.876  0.124  0.750
Mo  0.366  0.520  0.065
Mo  0.480  0.634  0.435
Mo  0.520  0.366  0.565
Mo  0.634  0.480  0.935
N  0.000  0.500  0.000
N  0.170  0.665  0.500
N  0.335  0.830  0.000
N  0.500  0.000  0.500
N  0.665  0.170  0.000
N  0.830  0.335  0.500

Principal peaks in the range 10 to 80 degrees two-theta, in order of rising 2θ:
2θ/deg	I_rel
12.0	20.4
24.2	10.9
30.0	11.4
30.2	21.9
35.2	100.0
35.5	47.8
36.7	27.3
48.0	15.6
53.3	21.5
53.7	11.2
65.4	13.8
66.3	8.3


Entry 4:
# Nb3AlC2
Simulated powder X-ray diffraction pattern, Cu Kα (λ = 1.5418 Å). Input: a cell relaxed with GGA-PBE.

Crystal structure
a b c (Å): 3.131 3.131 19.244
angles (deg): 90.00 90.00 120.00
Fractional positions:
Nb  0.000  0.000  0.000
Nb  0.000  0.000  0.500
Nb  0.333  0.667  0.133
Nb  0.333  0.667  0.367
Nb  0.667  0.333  0.633
Nb  0.667  0.333  0.867
Al  0.000  0.000  0.250
Al  0.000  0.000  0.750
C  0.333  0.667  0.569
C  0.333  0.667  0.931
C  0.667  0.333  0.069
C  0.667  0.333  0.431

Principal peaks in the range 10 to 80 degrees two-theta, in order of rising 2θ:
2θ/deg	I_rel
18.4	10.4
33.4	40.6
34.4	14.5
36.0	15.7
37.4	28.5
38.1	100.0
40.7	43.5
54.7	20.4
59.0	31.1
67.9	14.1
72.0	24.6
72.4	14.3


Entry 5:
# CdH12C2S2N6Cl4
Simulated powder X-ray diffraction pattern, Cu Kα (λ = 1.5418 Å). Input: a cell relaxed with GGA-PBE.

Crystal structure
a b c (Å): 7.146 8.355 12.444
angles (deg): 90.00 119.64 90.00
Fractional positions:
Cd  0.000  0.000  0.000
Cd  0.000  0.500  0.500
H  0.164  0.037  0.761
H  0.164  0.463  0.261
H  0.230  0.182  0.426
H  0.230  0.318  0.926
H  0.251  0.526  0.941
H  0.251  0.974  0.441
H  0.267  0.650  0.286
H  0.267  0.850  0.786
H  0.313  0.648  0.123
H  0.313  0.852  0.623
H  0.437  0.014  0.839
H  0.437  0.486  0.339
H  0.563  0.514  0.661
H  0.563  0.986  0.161
H  0.687  0.148  0.377
H  0.687  0.352  0.877
H  0.733  0.150  0.214
H  0.733  0.350  0.714
H  0.749  0.026  0.559
H  0.749  0.474  0.059
H  0.770  0.682  0.074
H  0.770  0.818  0.574
H  0.836  0.537  0.739
H  0.836  0.963  0.239
C  0.266  0.100  0.589
C  0.266  0.400  0.089
C  0.734  0.600  0.911
C  0.734  0.900  0.411
S  0.257  0.223  0.153
S  0.257  0.277  0.653
S  0.743  0.723  0.347
S  0.743  0.777  0.847
N  0.255  0.083  0.479
N  0.255  0.417  0.979
N  0.289  0.537  0.152
N  0.289  0.963  0.652
N  0.292  0.533  0.266
N  0.292  0.967  0.766
N  0.708  0.033  0.234
N  0.708  0.467  0.734
N  0.711  0.037  0.348
N  0.711  0.463  0.848
N  0.745  0.583  0.021
N  0.745  0.917  0.521
Cl  0.087  0.626  0.717
Cl  0.087  0.874  0.217
Cl  0.338  0.663  0.519
Cl  0.338  0.837  0.019
Cl  0.662  0.163  0.981
Cl  0.662  0.337  0.481
Cl  0.913  0.126  0.783
Cl  0.913  0.374  0.283

Principal peaks in the range 10 to 80 degrees two-theta, in order of rising 2θ:
2θ/deg	I_rel
13.4	100.0
14.3	48.1
15.5	74.8
16.4	57.7
22.4	45.9
27.2	41.9
27.8	76.0
29.1	33.9
33.1	34.5
36.0	32.9
38.0	36.1
41.6	32.9


Entry 6:
# CsNaAgP
Simulated powder X-ray diffraction pattern, Cu Kα (λ = 1.5418 Å). Input: a cell relaxed with GGA-PBE.

Crystal structure
a b c (Å): 6.448 5.687 6.769
angles (deg): 90.00 99.48 90.00
Fractional positions:
Cs  0.211  0.250  0.043
Cs  0.789  0.750  0.957
Na  0.447  0.250  0.602
Na  0.553  0.750  0.398
Ag  0.000  0.000  0.500
Ag  0.000  0.500  0.500
P  0.276  0.750  0.691
P  0.724  0.250  0.309

Principal peaks in the range 10 to 80 degrees two-theta, in order of rising 2θ:
2θ/deg	I_rel
13.9	100.0
21.0	61.0
23.6	52.9
26.1	71.8
26.7	70.9
28.1	76.6
29.0	49.2
32.3	45.1
33.1	98.9
34.3	72.5
42.6	69.9
57.5	41.8